For CaNi2O4, a crystal structure in the Materials Project, relaxed with GGA+U gives the calculated XRD peak list in this record (CuKα).

Most intense lines, 2θ from 5° to 70°, by angle:
2θ/deg	I (rel.)	index
17.66	92	1 1 1
17.93	62	0 0 3
33.51	45	0 2 1
33.64	69	1 2 3
34.52	100	2 2 -1
34.66	62	1 2 -3
35.75	55	0 2 -2
40.60	48	0 2 4
42.09	42	2 0 4
42.33	41	2 2 -4

Structural model:
```
data_CaNi2O4
_symmetry_space_group_name_H-M 'P 1'
_symmetry_Int_Tables_number 1
_cell_length_a 6.093
_cell_length_b 6.196
_cell_length_c 14.854
_cell_angle_alpha 88.09
_cell_angle_beta 89.75
_cell_angle_gamma 60.73
loop_
_symmetry_equiv_pos_as_xyz
'x,y,z'
loop_
_atom_site_label
_atom_site_type_symbol
_atom_site_fract_x
_atom_site_fract_y
_atom_site_fract_z
Ca1 Ca 0.000 0.000 0.000
Ca2 Ca 0.001 0.000 0.635
Ca3 Ca 0.336 0.328 0.730
Ca4 Ca 0.669 0.663 0.046
Ca5 Ca 0.670 0.660 0.287
Ca6 Ca 0.999 0.997 0.390
Ni1 Ni 0.002 0.497 0.507
Ni2 Ni 0.167 0.666 0.176
Ni3 Ni 0.170 0.159 0.174
Ni4 Ni 0.334 0.331 0.956
Ni5 Ni 0.335 0.324 0.340
Ni6 Ni 0.346 0.821 0.832
Ni7 Ni 0.498 0.001 0.506
Ni8 Ni 0.498 0.498 0.506
Ni9 Ni 0.665 0.673 0.664
Ni10 Ni 0.670 0.159 0.174
Ni11 Ni 0.829 0.343 0.831
Ni12 Ni 0.832 0.822 0.832
O1 O 0.006 0.991 0.248
O2 O 0.069 0.456 0.245
O3 O 0.171 0.658 0.906
O4 O 0.177 0.171 0.903
O5 O 0.187 0.607 0.430
O6 O 0.206 0.176 0.433
O7 O 0.303 0.847 0.112
O8 O 0.324 0.359 0.575
O9 O 0.333 0.331 0.082
O10 O 0.387 0.816 0.581
O11 O 0.473 0.051 0.241
O12 O 0.476 0.459 0.243
O13 O 0.531 0.533 0.742
O14 O 0.534 0.931 0.743
O15 O 0.606 0.185 0.429
O16 O 0.653 0.169 0.904
O17 O 0.672 0.653 0.896
O18 O 0.677 0.633 0.437
O19 O 0.793 0.824 0.579
O20 O 0.808 0.396 0.586
O21 O 0.850 0.846 0.114
O22 O 0.855 0.292 0.111
O23 O 0.937 0.538 0.743
O24 O 0.998 0.006 0.781
```